For Li10V3Cr5O16, a crystal structure in Alexandria, relaxed with PBE+U gives the simulated powder X-ray diffraction pattern in this record (Cu Kα X-rays).

Most intense lines, 5° ≤ 2θ ≤ 70°, in order of rising 2θ:
2θ/deg  I_rel  index
18.01  70  0 0 2
19.09  30  0 1 1
19.37  100  1 1 1
32.26  30  1 0 3
34.96  28  1 2 -2
35.28  41  0 2 1
35.88  52  2 0 1
44.00  28  0 2 3
44.51  53  2 0 -3
44.65  51  2 0 3
58.79  34  0 2 -5
61.46  53  2 4 0

Cell and atoms:
Cell: 5.9464 6.0359 9.8530 Å, 89.67 89.99 60.49°
Fractional coordinates of all 34 atoms:
Li 0.0000 0.0000 0.0000
Li 0.0050 0.9893 0.5021
Li 0.1866 0.2061 0.4311
Li 0.1941 0.6125 0.4323
Li 0.3322 0.3361 0.2150
Li 0.3909 0.8025 0.9331
Li 0.6079 0.2066 0.4308
Li 0.6739 0.6515 0.7145
Li 0.8007 0.3988 0.9358
Li 0.8080 0.8022 0.9329
V 0.1809 0.1598 0.7002
V 0.6583 0.1598 0.7004
V 0.8338 0.3328 0.2008
Cr 0.1714 0.6565 0.7021
Cr 0.3383 0.3236 0.9616
Cr 0.3392 0.8288 0.2020
Cr 0.6695 0.6602 0.4601
Cr 0.8322 0.8287 0.2021
O 0.0068 0.9832 0.8102
O 0.0088 0.9826 0.3123
O 0.0241 0.4886 0.8280
O 0.1661 0.6680 0.0828
O 0.1775 0.1521 0.0773
O 0.3303 0.3412 0.5807
O 0.3389 0.8180 0.5804
O 0.4873 0.4886 0.8277
O 0.4922 0.0171 0.8333
O 0.5027 0.5199 0.3272
O 0.5123 0.9755 0.3263
O 0.6623 0.6757 0.0854
O 0.6704 0.1524 0.0776
O 0.8385 0.3203 0.5724
O 0.8419 0.8182 0.5809
O 0.9776 0.5198 0.3275